[1]
The following is a computed PXRD pattern of In3Rh. It was derived from the PBE geometry in Alexandria, using Cu Kα, 1.54184 Å.

Structural model:
```
data_In3Rh
_symmetry_space_group_name_H-M 'P 42/m n m'
_symmetry_Int_Tables_number 136
_symmetry_space_group_name_Hall '-P 4n 2n'
_cell_length_a 7.092
_cell_length_b 7.092
_cell_length_c 7.233
_cell_angle_alpha 90.00
_cell_angle_beta 90.00
_cell_angle_gamma 90.00
loop_
_atom_site_label
_atom_site_type_symbol
_atom_site_fract_x
_atom_site_fract_y
_atom_site_fract_z
In1 In 0.000 0.500 0.000
In2 In 0.151 0.151 0.244
Rh1 Rh 0.155 0.845 0.000
```

Peak list (12 most intense, 10° ≤ 2θ ≤ 90°, in order of rising 2θ)
Position (°2θ)	I_rel	(hkl)
17.51	22	1 0 1
21.56	14	1 1 1
28.14	16	2 1 0
30.48	34	1 1 2
35.45	21	2 0 2
35.81	10	2 2 0
37.73	100	2 1 2
40.20	65	3 1 0
50.47	16	0 0 4
59.51	12	4 1 2
66.42	25	3 1 4
77.07	17	5 2 2

***

[2]
The following is a computed PXRD pattern of In3Rh2. It was derived from the PBE geometry in Alexandria, using Cu Kα, 1.54184 Å.

Structural model:
```
data_In3Rh2
_symmetry_space_group_name_H-M 'F d d 2'
_symmetry_Int_Tables_number 43
_symmetry_space_group_name_Hall 'F 2 -2d'
_cell_length_a 9.431
_cell_length_b 13.746
_cell_length_c 5.681
_cell_angle_alpha 90.00
_cell_angle_beta 90.00
_cell_angle_gamma 90.00
loop_
_atom_site_label
_atom_site_type_symbol
_atom_site_fract_x
_atom_site_fract_y
_atom_site_fract_z
In1 In 0.000 0.000 0.000
In2 In 0.054 0.103 0.517
Rh1 Rh 0.020 0.200 0.946
```

Peak list (12 most intense, 10° ≤ 2θ ≤ 90°, in order of rising 2θ)
Position (°2θ)	I_rel	(hkl)
33.22	9	3 1 1
36.94	78	2 0 2
37.58	100	1 5 1
38.17	48	4 0 0
39.28	16	2 2 2
40.45	22	4 2 0
46.72	36	3 5 1
53.24	9	1 3 3
60.14	17	1 5 3
71.49	12	2 10 0
77.08	11	0 10 2
89.46	10	4 10 2

***

[3]
The following is a computed PXRD pattern of InRu2Rh. It was derived from the PBE geometry in Alexandria, using Cu Kα, 1.54184 Å.

Structural model:
```
data_InRu2Rh
_symmetry_space_group_name_H-M 'C 1 2/m 1'
_symmetry_Int_Tables_number 12
_symmetry_space_group_name_Hall '-C 2y'
_cell_length_a 5.409
_cell_length_b 9.403
_cell_length_c 2.810
_cell_angle_alpha 90.00
_cell_angle_beta 117.68
_cell_angle_gamma 90.00
loop_
_atom_site_label
_atom_site_type_symbol
_atom_site_fract_x
_atom_site_fract_y
_atom_site_fract_z
In1 In 0.000 0.000 0.000
Ru1 Ru 0.250 0.250 0.500
Rh1 Rh 0.000 0.500 0.000
```

Peak list (12 most intense, 10° ≤ 2θ ≤ 90°, in order of rising 2θ)
Position (°2θ)	I_rel	(hkl)
38.17	61	2 0 -1
38.29	61	0 4 0
41.04	100	0 2 1
42.35	91	2 2 0
55.17	41	2 4 -1
65.45	12	2 0 1
70.01	20	2 2 -2
71.09	19	0 6 1
72.01	18	2 6 0
72.78	18	4 2 -1
78.43	14	2 4 1
89.02	11	0 4 2

***

[4]
The following is a computed PXRD pattern of InRuRh2. It was derived from the PBE geometry in Alexandria, using Cu Kα, 1.54184 Å.

Structural model:
```
data_InRuRh2
_symmetry_space_group_name_H-M 'I 4/m m m'
_symmetry_Int_Tables_number 139
_symmetry_space_group_name_Hall '-I 4 2'
_cell_length_a 3.970
_cell_length_b 3.970
_cell_length_c 7.838
_cell_angle_alpha 90.00
_cell_angle_beta 90.00
_cell_angle_gamma 90.00
loop_
_atom_site_label
_atom_site_type_symbol
_atom_site_fract_x
_atom_site_fract_y
_atom_site_fract_z
In1 In 0.000 0.000 0.000
Ru1 Ru 0.000 0.000 0.500
Rh1 Rh 0.000 0.500 0.250
```

Peak list (8 most intense, 10° ≤ 2θ ≤ 90°, in order of rising 2θ)
Position (°2θ)	I_rel	(hkl)
39.49	100	1 1 2
45.71	33	2 0 0
46.34	16	0 0 4
66.63	10	2 2 0
67.13	20	2 0 4
80.31	24	3 1 2
81.22	12	1 1 6
85.01	11	2 2 4

***

[5]
The following is a computed PXRD pattern of Tm4InRu2Rh. It was derived from the PBE geometry in Alexandria, using Cu Kα, 1.54184 Å.

Structural model:
```
data_Tm4InRu2Rh
_symmetry_space_group_name_H-M 'R -3 m'
_symmetry_Int_Tables_number 166
_symmetry_space_group_name_Hall '-R 3 2"'
_cell_length_a 4.8597
_cell_length_b 4.8597
_cell_length_c 24.0386
_cell_angle_alpha 90.00
_cell_angle_beta 90.00
_cell_angle_gamma 120.00
loop_
_atom_site_label
_atom_site_type_symbol
_atom_site_fract_x
_atom_site_fract_y
_atom_site_fract_z
Tm1 Tm 0.0000 0.0000 0.1179
Tm2 Tm 0.0000 0.0000 0.3705
In1 In 0.0000 0.0000 0.5000
Ru1 Ru 0.0000 0.0000 0.2486
Rh1 Rh 0.0000 0.0000 0.0000
```

Peak list (12 most intense, 10° ≤ 2θ ≤ 90°, in order of rising 2θ)
Position (°2θ)	I_rel	(hkl)
25.84	11	1 0 4
36.75	96	0 1 8
37.00	100	1 1 0
45.68	3	0 2 4
53.14	33	2 0 8
66.03	14	1 0 16
66.51	34	1 2 8
66.67	18	3 0 0
70.38	2	1 1 15
78.17	9	0 2 16
78.77	11	2 2 0
89.79	13	2 1 16

***

[6]
The following is a computed PXRD pattern of InRh5S8. It was derived from the PBE geometry in Alexandria, using Cu Kα, 1.54184 Å.

Structural model:
```
data_InRh5S8
_symmetry_space_group_name_H-M 'F -4 3 m'
_symmetry_Int_Tables_number 216
_symmetry_space_group_name_Hall 'F -4 2 3'
_cell_length_a 10.093
_cell_length_b 10.093
_cell_length_c 10.093
_cell_angle_alpha 90.00
_cell_angle_beta 90.00
_cell_angle_gamma 90.00
loop_
_atom_site_label
_atom_site_type_symbol
_atom_site_fract_x
_atom_site_fract_y
_atom_site_fract_z
In1 In 0.000 0.000 0.000
Rh1 Rh 0.122 0.122 0.622
Rh2 Rh 0.250 0.250 0.250
S1 S 0.115 0.115 0.385
S2 S 0.142 0.142 0.858
```

Peak list (12 most intense, 10° ≤ 2θ ≤ 90°, in order of rising 2θ)
Position (°2θ)	I_rel	(hkl)
15.20	11	1 1 1
24.95	32	2 2 0
29.35	100	3 1 1
35.58	23	4 0 0
43.95	12	4 2 2
46.77	47	5 1 1
51.20	60	4 4 0
60.11	13	5 3 3
69.72	8	6 4 2
71.85	20	5 5 3
75.33	9	8 0 0
82.83	13	5 5 5

***

[7]
The following is a computed PXRD pattern of TaInRhS3. It was derived from the PBE geometry in Alexandria, using Cu Kα, 1.54184 Å.

Structural model:
```
data_TaInRhS3
_symmetry_space_group_name_H-M 'P 1 21/m 1'
_symmetry_Int_Tables_number 11
_symmetry_space_group_name_Hall '-P 2yb'
_cell_length_a 7.348
_cell_length_b 3.456
_cell_length_c 10.040
_cell_angle_alpha 90.00
_cell_angle_beta 106.42
_cell_angle_gamma 90.00
loop_
_atom_site_label
_atom_site_type_symbol
_atom_site_fract_x
_atom_site_fract_y
_atom_site_fract_z
Ta1 Ta 0.062 0.250 0.345
In1 In 0.438 0.250 0.128
Rh1 Rh 0.112 0.750 0.136
S1 S 0.131 0.750 0.893
S2 S 0.167 0.250 0.613
S3 S 0.307 0.750 0.369
```

Peak list (12 most intense, 10° ≤ 2θ ≤ 90°, in order of rising 2θ)
Position (°2θ)	I_rel	(hkl)
12.56	90	1 0 0
17.57	79	1 0 1
25.26	25	2 0 0
27.07	25	1 0 -3
32.32	61	1 1 -2
35.73	100	2 1 -1
36.35	56	1 1 2
37.35	45	0 0 4
42.09	24	3 0 1
50.95	32	2 1 3
52.99	20	0 2 0
54.31	18	2 1 -5

***

[8]
The following is a computed PXRD pattern of InSb12Rh4. It was derived from the PBE geometry in Alexandria, using Cu Kα, 1.54184 Å.

Structural model:
```
data_InSb12Rh4
_symmetry_space_group_name_H-M 'I m -3'
_symmetry_Int_Tables_number 204
_symmetry_space_group_name_Hall '-I 2 2 3'
_cell_length_a 9.423
_cell_length_b 9.423
_cell_length_c 9.423
_cell_angle_alpha 90.00
_cell_angle_beta 90.00
_cell_angle_gamma 90.00
loop_
_atom_site_label
_atom_site_type_symbol
_atom_site_fract_x
_atom_site_fract_y
_atom_site_fract_z
In1 In 0.000 0.000 0.000
Sb1 Sb 0.000 0.339 0.155
Rh1 Rh 0.250 0.250 0.250
```

Peak list (12 most intense, 10° ≤ 2θ ≤ 90°, in order of rising 2θ)
Position (°2θ)	I_rel	(hkl)
29.99	100	3 0 1
35.65	44	3 1 2
42.92	26	4 2 0
47.26	32	4 2 2
49.31	29	4 3 1
56.99	14	5 3 0
58.80	7	6 0 0
67.41	17	6 1 3
77.08	9	7 3 0
80.21	7	7 2 3
87.93	15	6 6 0
89.46	11	7 4 3